No. 1
The following is a calculated powder X-ray diffraction pattern of Cs2Te10Mo9. It was derived from a structure optimized by DFT (PBE), using Cu Kα.
Intensities are scaled so that the largest is 1000.

```
Cs2Te10Mo9
1.0
5.1717 2.9859 13.2196
-5.1717 2.9859 13.2196
0.0000 -5.9718 13.2196
Cs Te Mo
4 20 18
Direct
0.0763 0.0763 0.0763
0.1986 0.1986 0.1986
0.8014 0.8014 0.8014
0.9237 0.9237 0.9237
0.0614 0.3201 0.6890
0.0835 0.7054 0.4461
0.1775 0.4310 0.8057
0.1943 0.8225 0.5690
0.2946 0.5539 0.9165
0.2971 0.2971 0.2971
0.3110 0.9386 0.6799
0.3201 0.6890 0.0614
0.4310 0.8057 0.1775
0.4461 0.0835 0.7054
0.5539 0.9165 0.2946
0.5690 0.1943 0.8225
0.6799 0.3110 0.9386
0.6890 0.0614 0.3201
0.7029 0.7029 0.7029
0.7054 0.4461 0.0835
0.8057 0.1775 0.4310
0.8225 0.5690 0.1943
0.9165 0.2946 0.5539
0.9386 0.6799 0.3110
0.1977 0.4920 0.3726
0.2702 0.3976 0.5701
0.3135 0.6091 0.4884
0.3726 0.1977 0.4920
0.3909 0.5116 0.6865
0.3976 0.5701 0.2702
0.4299 0.7298 0.6024
0.4884 0.3135 0.6091
0.4920 0.3726 0.1977
0.5080 0.6274 0.8023
0.5116 0.6865 0.3909
0.5701 0.2702 0.3976
0.6024 0.4299 0.7298
0.6091 0.4884 0.3135
0.6274 0.8023 0.5080
0.6865 0.3909 0.5116
0.7298 0.6024 0.4299
0.8023 0.5080 0.6274
```

Most intense lines, 10° ≤ 2θ ≤ 80°, by angle:
| two_theta | I/Imax |
| --- | --- |
| 10.1 | 1000 |
| 26.6 | 540 |
| 26.8 | 127 |
| 29.9 | 421 |
| 32.0 | 140 |
| 36.2 | 156 |
| 40.4 | 694 |
| 41.0 | 227 |
| 47.9 | 231 |
| 51.6 | 133 |

***

No. 2
The following is a calculated powder X-ray diffraction pattern of Ge3Ir2Se3. It was derived from a structure optimized by DFT (PBE), using Cu Kα.
Intensities are scaled so that the largest is 1000.

```
Ge3Ir2Se3
1.0
6.1246 3.5361 5.0245
-6.1246 3.5361 5.0245
0.0000 -7.0721 5.0245
Ge Ir Se
12 8 12
Direct
0.0023 0.6684 0.1507
0.1507 0.0023 0.6684
0.1688 0.3500 0.5023
0.3316 0.8493 0.9977
0.3500 0.5023 0.1688
0.4977 0.8312 0.6500
0.5023 0.1688 0.3500
0.6500 0.4977 0.8312
0.6684 0.1507 0.0023
0.8312 0.6500 0.4977
0.8493 0.9977 0.3316
0.9977 0.3316 0.8493
0.2462 0.2522 0.7511
0.2489 0.7538 0.7478
0.2522 0.7511 0.2462
0.2529 0.2529 0.2529
0.7471 0.7471 0.7471
0.7478 0.2489 0.7538
0.7511 0.2462 0.2522
0.7538 0.7478 0.2489
0.0030 0.3530 0.1426
0.1426 0.0030 0.3530
0.1471 0.6434 0.4997
0.3530 0.1426 0.0030
0.3566 0.5003 0.8529
0.4997 0.1471 0.6434
0.5003 0.8529 0.3566
0.6434 0.4997 0.1471
0.6470 0.8574 0.9970
0.8529 0.3566 0.5003
0.8574 0.9970 0.6470
0.9970 0.6470 0.8574
```

Most intense lines, 10° ≤ 2θ ≤ 80°, by angle:
| two_theta | I/Imax |
| --- | --- |
| 20.5 | 1000 |
| 29.1 | 686 |
| 32.6 | 746 |
| 35.9 | 249 |
| 41.6 | 138 |
| 46.8 | 576 |
| 46.9 | 570 |
| 51.5 | 190 |
| 51.7 | 553 |
| 72.3 | 180 |

***

No. 3
The following is a calculated powder X-ray diffraction pattern of DyAg2I4. It was derived from a structure optimized by DFT (PBE), using Cu Kα.
Intensities are scaled so that the largest is 1000.

```
DyAg2I4
1.0
-3.3094 3.3094 6.5532
3.3094 -3.3094 6.5532
3.3094 3.3094 -6.5532
Dy Ag I
1 2 4
Direct
0.0000 0.0000 0.0000
0.2500 0.7500 0.5000
0.5000 0.5000 0.0000
0.1031 0.1348 0.5021
0.3990 0.8969 0.0317
0.6327 0.6010 0.4979
0.8652 0.3673 0.9683
```

Most intense lines, 10° ≤ 2θ ≤ 80°, by angle:
| two_theta | I/Imax |
| --- | --- |
| 23.4 | 1000 |
| 31.0 | 72 |
| 38.5 | 257 |
| 38.7 | 508 |
| 45.5 | 313 |
| 45.8 | 155 |
| 55.5 | 83 |
| 61.3 | 123 |
| 69.7 | 159 |
| 70.1 | 79 |

***

No. 4
The following is a calculated powder X-ray diffraction pattern of Nb3SBr3Cl4. It was derived from a structure optimized by DFT (PBE), using Cu Kα.
Intensities are scaled so that the largest is 1000.

```
Nb3SBr3Cl4
1.0
6.9827 0.0000 0.0000
-3.4914 6.0472 0.0000
0.0000 0.0000 6.5663
Nb S Br Cl
3 1 3 4
Direct
0.1946 0.3892 0.0000
0.1946 0.8054 0.0000
0.6108 0.8054 0.0000
0.3333 0.6667 0.7369
0.5032 0.0064 0.2622
0.5032 0.4968 0.2622
0.9936 0.4968 0.2622
0.0000 0.0000 0.1987
0.3315 0.1658 0.7983
0.8342 0.1658 0.7983
0.8342 0.6685 0.7983
```

Most intense lines, 10° ≤ 2θ ≤ 80°, by angle:
| two_theta | I/Imax |
| --- | --- |
| 13.5 | 858 |
| 14.6 | 269 |
| 20.0 | 252 |
| 32.6 | 1000 |
| 40.6 | 614 |
| 41.8 | 155 |
| 48.5 | 135 |
| 51.5 | 246 |
| 52.4 | 232 |
| 63.1 | 108 |